1.
Starting from a cell relaxed with PBE+U, the powder diffractogram of Li5V4O12F was simulated for a wavelength of 1.5418 Å.
Intensities are scaled so that the largest is 1000.

Top 8 peaks for 5° ≤ 2θ ≤ 70°, in order of rising 2θ:
12.42°, d 7.128, I = 1000, hkl 0 1 1
17.48°, d 5.072, I = 131, hkl 0 2 0
24.98°, d 3.564, I = 104, hkl 0 2 2
27.34°, d 3.263, I = 180, hkl 1 2 0
27.60°, d 3.232, I = 238, hkl 1 1 -3
32.64°, d 2.743, I = 229, hkl 1 3 -1
32.78°, d 2.732, I = 178, hkl 1 0 2
41.69°, d 2.166, I = 148, hkl 1 1 3

Structural model:
abc: 4.6931 10.1442 11.0262
angles: 90.00 114.69 90.00
Space group P2_1/c (No. 14)
One atom of each set of equivalent atoms:
Li (0.0000, 0.0000, 0.0000) (multiplicity 2)
Li (0.3003, 0.1561, 0.8627) (multiplicity 4)
Li (0.3790, 0.6381, 0.3408) (multiplicity 4)
V (0.0340, 0.6581, 0.9801) (multiplicity 4)
V (0.3874, 0.5146, 0.8386) (multiplicity 4)
O (0.0882, 0.0218, 0.1928) (multiplicity 4)
O (0.1115, 0.1972, 0.9958) (multiplicity 4)
O (0.2105, 0.0397, 0.4616) (multiplicity 4)
O (0.2253, 0.6901, 0.8730) (multiplicity 4)
O (0.3398, 0.1070, 0.6983) (multiplicity 4)
O (0.3924, 0.6492, 0.1406) (multiplicity 4)
F (0.5000, 0.0000, 0.0000) (multiplicity 2)

2.
Starting from a cell relaxed with PBE+U, the powder diffractogram of LiV4OF11 was simulated for a wavelength of 1.5418 Å.
Intensities are scaled so that the largest is 1000.

Top 8 peaks for 5° ≤ 2θ ≤ 70°, in order of rising 2θ:
23.42°, d 3.798, I = 513, hkl 0 1 3
23.69°, d 3.756, I = 1000, hkl 1 0 3
32.44°, d 2.760, I = 216, hkl 1 2 1
39.60°, d 2.276, I = 145, hkl 1 2 5
48.47°, d 1.878, I = 180, hkl 2 0 6
52.60°, d 1.740, I = 158, hkl 1 3 4
53.00°, d 1.728, I = 152, hkl 2 -1 3
53.52°, d 1.712, I = 144, hkl 1 2 -7

Structural model:
abc: 5.1927 5.5382 17.1893
angles: 83.27 81.32 62.05
Space group P1 (No. 1)
One atom of each set of equivalent atoms:
Li (0.0000, 0.0000, 0.0000) (multiplicity 1)
Li (0.3981, 0.7448, 0.4603) (multiplicity 1)
V (0.0154, 0.1847, 0.7922) (multiplicity 1)
V (0.1496, 0.3337, 0.4108) (multiplicity 1)
V (0.2914, 0.4101, 0.0494) (multiplicity 1)
V (0.3906, 0.5586, 0.6682) (multiplicity 1)
V (0.4955, 0.6763, 0.2934) (multiplicity 1)
V (0.6403, 0.8015, 0.9176) (multiplicity 1)
V (0.7575, 0.9420, 0.5429) (multiplicity 1)
V (0.8630, 0.0667, 0.1669) (multiplicity 1)
O (0.3483, 0.5362, 0.3872) (multiplicity 1)
O (0.6687, 0.2075, 0.0733) (multiplicity 1)
F (0.0879, 0.2862, 0.1344) (multiplicity 1)
F (0.0916, 0.8718, 0.7302) (multiplicity 1)
F (0.1010, 0.9043, 0.2572) (multiplicity 1)
F (0.1679, 0.3498, 0.6998) (multiplicity 1)
F (0.1806, 0.7141, 0.5716) (multiplicity 1)
F (0.1810, 0.7679, 0.0969) (multiplicity 1)
F (0.3276, 0.1042, 0.9778) (multiplicity 1)
F (0.3558, 0.1425, 0.5104) (multiplicity 1)
F (0.4071, 0.6010, 0.9499) (multiplicity 1)
F (0.4119, 0.9730, 0.8253) (multiplicity 1)
F (0.4452, 0.9759, 0.3634) (multiplicity 1)
F (0.5594, 0.3706, 0.2302) (multiplicity 1)
F (0.6081, 0.7708, 0.6352) (multiplicity 1)
F (0.6152, 0.3943, 0.7607) (multiplicity 1)
F (0.6616, 0.8367, 0.2028) (multiplicity 1)
F (0.6895, 0.2439, 0.6077) (multiplicity 1)
F (0.8076, 0.6391, 0.4828) (multiplicity 1)
F (0.8640, 0.0290, 0.8888) (multiplicity 1)
F (0.8784, 0.6543, 0.0038) (multiplicity 1)
F (0.9078, 0.4572, 0.3257) (multiplicity 1)
F (0.9342, 0.0895, 0.4567) (multiplicity 1)
F (0.9392, 0.4982, 0.8531) (multiplicity 1)

3.
Starting from a cell relaxed with PBE+U, the powder diffractogram of Li2VO2F was simulated for a wavelength of 1.5418 Å.
Intensities are scaled so that the largest is 1000.

Top 8 peaks for 5° ≤ 2θ ≤ 70°, in order of rising 2θ:
13.48°, d 6.567, I = 657, hkl 0 2 0
22.28°, d 3.989, I = 910, hkl 0 0 1
29.80°, d 2.998, I = 845, hkl 1 3 0
41.24°, d 2.189, I = 1000, hkl 0 6 0
44.01°, d 2.057, I = 822, hkl 2 0 0
45.47°, d 1.995, I = 737, hkl 0 0 2
61.89°, d 1.499, I = 484, hkl 2 6 0
63.05°, d 1.474, I = 453, hkl 0 6 2

Structural model:
abc: 4.1147 13.1342 3.9894
angles: 90.00 90.00 90.00
Space group Cmmm (No. 65)
One atom of each set of equivalent atoms:
Li (0.0000, 0.0000, 0.0000) (multiplicity 2)
Li (0.0000, 0.1633, 0.5000) (multiplicity 4)
Li (0.0000, 0.5000, 0.5000) (multiplicity 2)
V (0.0000, 0.3300, 0.0000) (multiplicity 4)
O (0.0000, 0.1708, 0.0000) (multiplicity 4)
O (0.0000, 0.3399, 0.5000) (multiplicity 4)
F (0.0000, 0.0000, 0.5000) (multiplicity 2)
F (0.0000, 0.5000, 0.0000) (multiplicity 2)

4.
Starting from a cell relaxed with PBE+U, the powder diffractogram of LiVOF3 was simulated for a wavelength of 1.5418 Å.
Intensities are scaled so that the largest is 1000.

Top 8 peaks for 5° ≤ 2θ ≤ 70°, in order of rising 2θ:
11.73°, d 7.543, I = 786, hkl 1 0 0
20.86°, d 4.257, I = 1000, hkl 1 1 0
24.71°, d 3.603, I = 324, hkl 1 0 -2
25.19°, d 3.536, I = 428, hkl 0 0 2
29.33°, d 3.045, I = 507, hkl 2 1 0
34.36°, d 2.610, I = 184, hkl 2 1 -2
40.79°, d 2.212, I = 179, hkl 1 1 -3
53.90°, d 1.701, I = 219, hkl 2 1 -4

Structural model:
abc: 7.8432 5.1576 7.3531
angles: 90.00 105.91 90.00
Space group P2_1/c (No. 14)
One atom of each set of equivalent atoms:
Li (0.1355, 0.1994, 0.4857) (multiplicity 4)
V (0.3479, 0.7176, 0.7344) (multiplicity 4)
O (0.4581, 0.0458, 0.6852) (multiplicity 4)
F (0.1205, 0.6247, 0.1164) (multiplicity 4)
F (0.1988, 0.0815, 0.2509) (multiplicity 4)
F (0.3228, 0.6121, 0.4669) (multiplicity 4)

5.
Starting from a cell relaxed with PBE+U, the powder diffractogram of Li5VO3F2 was simulated for a wavelength of 1.5418 Å.
Intensities are scaled so that the largest is 1000.

Top 8 peaks for 5° ≤ 2θ ≤ 70°, in order of rising 2θ:
15.89°, d 5.577, I = 1000, hkl 0 1 1
19.58°, d 4.535, I = 583, hkl 0 1 -3
24.68°, d 3.608, I = 869, hkl 1 0 2
29.60°, d 3.018, I = 335, hkl 0 1 5
39.76°, d 2.267, I = 463, hkl 0 2 -6
41.15°, d 2.194, I = 226, hkl 1 2 -4
44.06°, d 2.055, I = 458, hkl 0 2 6
46.32°, d 1.960, I = 382, hkl 2 0 0

Structural model:
abc: 3.9206 6.0660 18.5251
angles: 95.63 90.00 90.02
Space group P1 (No. 1)
One atom of each set of equivalent atoms:
Li (0.0000, 0.0000, 0.0000) (multiplicity 1)
Li (0.9997, 0.0062, 0.4954) (multiplicity 1)
Li (0.9997, 0.4623, 0.6990) (multiplicity 1)
Li (0.0003, 0.4989, 0.5001) (multiplicity 1)
Li (0.9997, 0.5070, 0.9954) (multiplicity 1)
Li (0.9995, 0.5373, 0.1831) (multiplicity 1)
Li (0.0000, 0.9625, 0.1990) (multiplicity 1)
Li (0.0008, 0.4488, 0.8582) (multiplicity 1)
Li (0.0011, 0.9486, 0.3586) (multiplicity 1)
Li (0.4994, 0.7561, 0.7454) (multiplicity 1)
Li (0.5000, 0.2128, 0.9490) (multiplicity 1)
Li (0.4997, 0.2501, 0.7499) (multiplicity 1)
Li (0.4996, 0.2564, 0.2454) (multiplicity 1)
Li (0.4997, 0.2869, 0.4332) (multiplicity 1)
Li (0.5002, 0.7121, 0.4491) (multiplicity 1)
Li (0.5000, 0.7498, 0.2499) (multiplicity 1)
Li (0.4996, 0.7879, 0.9332) (multiplicity 1)
Li (0.5010, 0.1992, 0.1086) (multiplicity 1)
Li (0.5010, 0.6989, 0.6085) (multiplicity 1)
Li (0.9994, 0.0383, 0.6832) (multiplicity 1)
V (0.9995, 0.0132, 0.8415) (multiplicity 1)
V (0.9995, 0.5128, 0.3413) (multiplicity 1)
V (0.4994, 0.2634, 0.5913) (multiplicity 1)
V (0.4995, 0.7633, 0.0915) (multiplicity 1)
O (0.9998, 0.2293, 0.9267) (multiplicity 1)
O (0.9997, 0.2524, 0.7731) (multiplicity 1)
O (0.0000, 0.7295, 0.4267) (multiplicity 1)
O (0.9999, 0.7513, 0.2733) (multiplicity 1)
O (0.4994, 0.9388, 0.8415) (multiplicity 1)
O (0.4999, 0.0021, 0.0234) (multiplicity 1)
O (0.4995, 0.4368, 0.3415) (multiplicity 1)
O (0.4996, 0.4808, 0.6766) (multiplicity 1)
O (0.5002, 0.5012, 0.5233) (multiplicity 1)
O (0.4998, 0.9798, 0.1768) (multiplicity 1)
O (0.9995, 0.1885, 0.5914) (multiplicity 1)
O (0.9995, 0.6880, 0.0916) (multiplicity 1)
F (0.9997, 0.2282, 0.4168) (multiplicity 1)
F (0.9995, 0.2751, 0.2440) (multiplicity 1)
F (0.9995, 0.7283, 0.9170) (multiplicity 1)
F (0.4995, 0.4788, 0.1668) (multiplicity 1)
F (0.4993, 0.9787, 0.6665) (multiplicity 1)
F (0.4996, 0.0246, 0.4944) (multiplicity 1)
F (0.4995, 0.5253, 0.9944) (multiplicity 1)
F (0.9993, 0.7761, 0.7449) (multiplicity 1)

6.
Starting from a cell relaxed with PBE+U, the powder diffractogram of Li2VO2F was simulated for a wavelength of 1.5418 Å.
Intensities are scaled so that the largest is 1000.

Top 8 peaks for 5° ≤ 2θ ≤ 70°, in order of rising 2θ:
12.10°, d 7.312, I = 496, hkl 0 0 1
17.15°, d 5.171, I = 787, hkl 1 0 0
21.01°, d 4.228, I = 520, hkl 1 0 -1
29.97°, d 2.981, I = 163, hkl 1 0 2
32.78°, d 2.732, I = 292, hkl 0 1 1
42.90°, d 2.108, I = 491, hkl 2 0 2
43.12°, d 2.098, I = 1000, hkl 1 1 -2
62.45°, d 1.487, I = 514, hkl 1 1 4

Structural model:
abc: 5.1712 2.9454 7.3124
angles: 90.00 90.18 90.00
Space group P2_1/m (No. 11)
One atom of each set of equivalent atoms:
Li (0.0864, 0.2500, 0.1610) (multiplicity 2)
Li (0.2656, 0.7500, 0.4886) (multiplicity 2)
V (0.4269, 0.2500, 0.8313) (multiplicity 2)
O (0.2619, 0.7500, 0.9886) (multiplicity 2)
O (0.4268, 0.2500, 0.3213) (multiplicity 2)
F (0.0872, 0.2500, 0.6654) (multiplicity 2)

7.
Starting from a cell relaxed with PBE+U, the powder diffractogram of Li2VO2F2 was simulated for a wavelength of 1.5418 Å.
Intensities are scaled so that the largest is 1000.

Top 8 peaks for 5° ≤ 2θ ≤ 70°, in order of rising 2θ:
18.21°, d 4.872, I = 1000, hkl 0 1 1
20.63°, d 4.305, I = 181, hkl 0 1 -1
30.25°, d 2.954, I = 141, hkl 0 1 3
34.75°, d 2.582, I = 128, hkl 0 2 0
36.22°, d 2.480, I = 252, hkl 2 1 3
41.97°, d 2.152, I = 214, hkl 0 2 -2
43.89°, d 2.063, I = 363, hkl 2 2 4
62.35°, d 1.489, I = 235, hkl 2 4 2

Structural model:
abc: 5.7623 5.9610 10.2623
angles: 74.93 73.77 61.15
Space group P1 (No. 1)
One atom of each set of equivalent atoms:
Li (0.0000, 0.0000, 0.0000) (multiplicity 1)
Li (0.0591, 0.5687, 0.3107) (multiplicity 1)
Li (0.2518, 0.7500, 0.7501) (multiplicity 1)
Li (0.4381, 0.9313, 0.1896) (multiplicity 1)
Li (0.4996, 0.5001, 0.5001) (multiplicity 1)
Li (0.5610, 0.0686, 0.8106) (multiplicity 1)
Li (0.7474, 0.2502, 0.2501) (multiplicity 1)
Li (0.9402, 0.4315, 0.6896) (multiplicity 1)
V (0.9997, 0.9999, 0.5001) (multiplicity 1)
V (0.9996, 0.5004, 0.0007) (multiplicity 1)
V (0.4999, 0.9999, 0.5001) (multiplicity 1)
V (0.5009, 0.4991, 0.9996) (multiplicity 1)
O (0.1240, 0.6139, 0.1064) (multiplicity 1)
O (0.1604, 0.1022, 0.6102) (multiplicity 1)
O (0.3429, 0.8862, 0.3939) (multiplicity 1)
O (0.3716, 0.3979, 0.8900) (multiplicity 1)
O (0.6276, 0.6020, 0.1103) (multiplicity 1)
O (0.6563, 0.1141, 0.6062) (multiplicity 1)
O (0.8389, 0.8980, 0.3899) (multiplicity 1)
O (0.8759, 0.3861, 0.8941) (multiplicity 1)
F (0.1062, 0.1503, 0.1178) (multiplicity 1)
F (0.1252, 0.6504, 0.6177) (multiplicity 1)
F (0.3743, 0.8508, 0.8841) (multiplicity 1)
F (0.3901, 0.3513, 0.3842) (multiplicity 1)
F (0.6092, 0.6488, 0.6160) (multiplicity 1)
F (0.6257, 0.1486, 0.1161) (multiplicity 1)
F (0.8741, 0.3498, 0.3824) (multiplicity 1)
F (0.8930, 0.8498, 0.8827) (multiplicity 1)